No. 1
The following is a computed X-ray powder pattern of Fe2F5. It was derived from a DFT-relaxed cell (GGA+U, Alexandria), using Cu Kα (λ = 1.5418 Å).
Lines closer than 0.1° are merged.

Lattice parameters (Å, degrees): 13.0967 4.9101 5.6128 90.00 103.84 90.00
Space group C2/c (No. 15)
Asymmetric unit:
Fe (0.1401, 0.2497, 0.2809) (multiplicity 8)
F (0.0000, 0.0950, 0.2500) (multiplicity 4)
F (0.1078, 0.4303, 0.9588) (multiplicity 8)
F (0.2032, 0.0726, 0.6274) (multiplicity 8)

The 6 most intense peaks (2θ = 10–80°), low angle first:
2θ (°)	Rel. int.	h k l
24.28	100	1 1 -1
28.07	45	4 0 0
29.64	51	3 1 -1
39.91	45	5 1 0
52.56	53	1 1 -3
53.79	30	4 2 -2



No. 2
The following is a computed X-ray powder pattern of KVAgO3. It was derived from a DFT-relaxed cell (GGA+U, Alexandria), using Cu Kα (λ = 1.5418 Å).
Lines closer than 0.1° are merged.

Lattice parameters (Å, degrees): 10.4276 6.5011 7.5044 90.00 120.38 90.00
Space group C2/m (No. 12)
Asymmetric unit:
K (0.1922, 0.0000, 0.0807) (multiplicity 4)
V (0.0716, 0.5000, 0.2073) (multiplicity 4)
Ag (0.0000, 0.2445, 0.5000) (multiplicity 4)
O (0.0110, 0.2663, 0.7915) (multiplicity 8)
O (0.2471, 0.0000, 0.7290) (multiplicity 4)

The 6 most intense peaks (2θ = 10–80°), low angle first:
2θ (°)	Rel. int.	h k l
17.41	40	2 0 -1
19.74	100	2 0 0
29.35	61	2 0 1
30.78	88	0 2 1
32.68	67	2 2 -1
34.03	76	2 2 0